Record 1
Starting from a crystal structure in Alexandria, relaxed with PBE+U, the PXRD pattern of Li2Fe3NiO8 was calculated for Cu Kα (weighted mean of Kα1 and Kα2).
Intensities are scaled so that the largest is 100.

Top 10 peaks for 2θ = 10–90°, in order of rising 2θ:
hkl	2θ/deg	intensity
0 0 2	18.5	71
1 0 1	20.1	100
1 0 2	25.8	34
1 0 3	33.4	40
1 1 2	36.5	62
2 0 1	37.3	53
2 0 2	40.9	35
2 0 3	46.3	58
2 0 5	61.1	49
2 2 0	64.9	39

Structure:
```
data_Li2Fe3NiO8
_chemical_formula_sum 'Li4 Fe6 Ni2 O16'
_space_group_name_H-M_alt 'P 1'
_space_group_IT_number 1
_space_group_name_Hall 'P 1'
_cell_length_a 5.7467
_cell_length_b 5.7467
_cell_length_c 9.5679
_cell_angle_alpha 90.00
_cell_angle_beta 90.00
_cell_angle_gamma 120.00
loop_
_atom_site_label
_atom_site_type_symbol
_atom_site_fract_x
_atom_site_fract_y
_atom_site_fract_z
Li1 Li 0.0000 0.0000 0.0000
Li2 Li 0.0000 0.0000 0.5000
Li3 Li 0.3333 0.6667 0.1079
Li4 Li 0.6667 0.3333 0.6079
Fe1 Fe 0.1685 0.3371 0.7848
Fe2 Fe 0.1685 0.8315 0.7848
Fe3 Fe 0.3371 0.1685 0.2848
Fe4 Fe 0.6629 0.8315 0.7848
Fe5 Fe 0.8315 0.1685 0.2848
Fe6 Fe 0.8315 0.6629 0.2848
Ni1 Ni 0.3333 0.6667 0.5101
Ni2 Ni 0.6667 0.3333 0.0101
O1 O 0.0000 0.0000 0.1854
O2 O 0.0000 0.0000 0.6854
O3 O 0.0337 0.5169 0.6710
O4 O 0.1580 0.3161 0.3917
O5 O 0.1580 0.8420 0.3917
O6 O 0.3161 0.1580 0.8917
O7 O 0.3333 0.6667 0.8918
O8 O 0.4831 0.5169 0.6710
O9 O 0.4831 0.9663 0.6710
O10 O 0.5169 0.0337 0.1710
O11 O 0.5169 0.4831 0.1710
O12 O 0.6667 0.3333 0.3918
O13 O 0.6839 0.8420 0.3917
O14 O 0.8420 0.1580 0.8917
O15 O 0.8420 0.6839 0.8917
O16 O 0.9663 0.4831 0.1710
```

=====

Record 2
Starting from a crystal structure in Alexandria, relaxed with PBE+U, the PXRD pattern of Li5Fe3Ni2P6O24 was calculated for Cu Kα (weighted mean of Kα1 and Kα2).
Intensities are scaled so that the largest is 100.

Top 10 peaks for 2θ = 10–90°, in order of rising 2θ:
hkl	2θ/deg	intensity
1 -1 0	20.2	32
0 1 -1	20.3	100
0 1 2	23.9	73
2 0 1	24.2	75
1 2 0	24.6	77
2 1 3	33.0	64
3 1 2	33.5	28
1 -2 1	35.4	32
-2 1 1	35.5	30
1 1 -2	35.7	29

Structure:
```
data_Li5Fe3Ni2P6O24
_chemical_formula_sum 'Li5 Fe3 Ni2 P6 O24'
_space_group_name_H-M_alt 'P 1'
_space_group_IT_number 1
_space_group_name_Hall 'P 1'
_cell_length_a 8.3635
_cell_length_b 8.3991
_cell_length_c 8.5656
_cell_angle_alpha 62.08
_cell_angle_beta 62.00
_cell_angle_gamma 63.25
loop_
_atom_site_label
_atom_site_type_symbol
_atom_site_fract_x
_atom_site_fract_y
_atom_site_fract_z
Li1 Li 0.0000 0.0000 0.0000
Li2 Li 0.0317 0.3580 0.8537
Li3 Li 0.1103 0.8592 0.5366
Li4 Li 0.2005 0.3613 0.5040
Li5 Li 0.6805 0.5353 0.8055
Fe1 Fe 0.2371 0.5584 0.0098
Fe2 Fe 0.5207 0.8583 0.3123
Fe3 Fe 0.7339 0.0708 0.5115
Ni1 Ni 0.3872 0.7103 0.1613
Ni2 Ni 0.8710 0.2132 0.6686
P1 P 0.1267 0.1455 0.2055
P2 P 0.3168 0.9585 0.7024
P3 P 0.4414 0.4536 0.6187
P4 P 0.6154 0.2607 0.1317
P5 P 0.8240 0.7580 0.9148
P6 P 0.9284 0.6736 0.4097
O1 O 0.0543 0.1461 0.0743
O2 O 0.1317 0.1290 0.7098
O3 O 0.1375 0.6171 0.2718
O4 O 0.1966 0.3171 0.1253
O5 O 0.2701 0.3994 0.6653
O6 O 0.2799 0.9453 0.2470
O7 O 0.2909 0.8174 0.9094
O8 O 0.3313 0.8760 0.5678
O9 O 0.4235 0.5214 0.7681
O10 O 0.4668 0.6070 0.4184
O11 O 0.4815 0.4719 0.0818
O12 O 0.4965 0.0106 0.6367
O13 O 0.5028 0.1214 0.2206
O14 O 0.6253 0.7992 0.0672
O15 O 0.6305 0.2869 0.6096
O16 O 0.6906 0.2389 0.2749
O17 O 0.7703 0.2399 0.9426
O18 O 0.7780 0.7667 0.3151
O19 O 0.8369 0.9471 0.7440
O20 O 0.8422 0.6018 0.8604
O21 O 0.9011 0.4867 0.5709
O22 O 0.9212 0.8196 0.4760
O23 O 0.9811 0.1447 0.4075
O24 O 0.9895 0.7144 0.9781
```

=====

Record 3
Starting from a crystal structure in Alexandria, relaxed with PBE+U, the PXRD pattern of Li4Fe3NiP4O16 was calculated for Cu Kα (weighted mean of Kα1 and Kα2).
Intensities are scaled so that the largest is 100.

Top 10 peaks for 2θ = 10–90°, in order of rising 2θ:
hkl	2θ/deg	intensity
0 0 2	17.1	34
1 0 1	20.6	56
1 1 1	25.4	86
0 2 0	29.5	73
1 0 3	32.0	26
1 1 -3	35.4	100
1 2 1	36.3	28
2 2 -2	52.1	36
1 3 -3	56.3	24
0 4 0	61.3	24

Structure:
```
data_Li4Fe3NiP4O16
_chemical_formula_sum 'Li4 Fe3 Ni1 P4 O16'
_space_group_name_H-M_alt 'P 1'
_space_group_IT_number 1
_space_group_name_Hall 'P 1'
_cell_length_a 4.7445
_cell_length_b 6.0459
_cell_length_c 10.3734
_cell_angle_alpha 90.00
_cell_angle_beta 90.11
_cell_angle_gamma 90.00
loop_
_atom_site_label
_atom_site_type_symbol
_atom_site_fract_x
_atom_site_fract_y
_atom_site_fract_z
Li1 Li 0.0000 0.2489 0.0000
Li2 Li 0.0000 0.7511 0.0000
Li3 Li 0.4989 0.2508 0.4965
Li4 Li 0.4989 0.7492 0.4965
Fe1 Fe 0.0243 0.0000 0.7164
Fe2 Fe 0.4738 0.0000 0.2202
Fe3 Fe 0.5231 0.5000 0.7784
Ni1 Ni 0.9820 0.5000 0.2775
P1 P 0.0791 0.5000 0.5888
P2 P 0.4168 0.5000 0.0972
P3 P 0.5814 0.0000 0.9055
P4 P 0.9145 0.0000 0.4036
O1 O 0.2013 0.5000 0.4495
O2 O 0.2148 0.2966 0.6601
O3 O 0.2148 0.7034 0.6601
O4 O 0.2384 0.0000 0.4020
O5 O 0.2575 0.0000 0.9033
O6 O 0.2787 0.2970 0.1683
O7 O 0.2787 0.7030 0.1683
O8 O 0.2959 0.5000 0.9582
O9 O 0.7050 0.0000 0.0445
O10 O 0.7153 0.2043 0.8349
O11 O 0.7153 0.7957 0.8349
O12 O 0.7408 0.5000 0.1024
O13 O 0.7556 0.5000 0.5924
O14 O 0.7810 0.2055 0.3328
O15 O 0.7810 0.7945 0.3328
O16 O 0.7889 0.0000 0.5418
```